Calculated PXRD pattern of VPN2O for Cu Kα, from the PBE+U geometry in Alexandria.
Kinematic intensities with the Lorentz-polarization factor, no thermal factor.

Crystal structure
Lattice parameters (Å, degrees): 3.617 3.617 3.280 90.00 90.00 90.00
Space group P4/mmm (No. 123)
One atom of each set of equivalent atoms:
V 0.000 0.000 0.000 [1 per cell]
P 0.500 0.500 0.500 [1 per cell]
N 0.000 0.500 0.500 [2 per cell]
O 0.500 0.500 0.000 [1 per cell]

Principal peaks in the range 2θ from 10° to 80°, low angle first:
hkl 0 0 1, 27.19 deg, intensity 1
hkl 1 1 0, 35.09 deg, intensity 70
hkl 1 0 1, 37.00 deg, intensity 100
hkl 1 1 1, 44.94 deg, intensity 49
hkl 2 0 0, 50.47 deg, intensity 66
hkl 0 0 2, 56.07 deg, intensity 23
hkl 2 1 1, 64.20 deg, intensity 38
hkl 1 1 2, 67.89 deg, intensity 19
hkl 2 2 0, 74.16 deg, intensity 18
hkl 2 0 2, 78.78 deg, intensity 29